# GeAu17
Computed powder diffractogram, Cu Ka. Input: a structure optimized by DFT (GGA-PBE).
Intensities are scaled so that the largest is 100.

Top 10 peaks for 2θ from 10° to 90°, by intensity:
- d 2.363, 38.08 deg, I = 100
- d 2.522, 35.60 deg, I = 56
- d 2.042, 44.35 deg, I = 54
- d 2.111, 42.84 deg, I = 53
- d 2.412, 37.28 deg, I = 52
- d 2.367, 38.01 deg, I = 50
- d 1.493, 62.16 deg, I = 38
- d 1.450, 64.24 deg, I = 35
- d 2.354, 38.24 deg, I = 29
- d 2.051, 44.15 deg, I = 27

Structural model:
a = 5.030 Å, b = 5.781 Å, c = 35.308 Å
α = 90.00°, β = 90.16°, γ = 90.00°
Fractional coordinates of all 36 atoms:
Ge: 0.165 0.250 0.222
Ge: 0.835 0.750 0.778
Au: 0.000 0.000 0.500
Au: 0.000 0.500 0.500
Au: 0.001 0.002 0.291
Au: 0.001 0.498 0.291
Au: 0.166 0.250 0.640
Au: 0.166 0.750 0.430
Au: 0.167 0.250 0.430
Au: 0.168 0.750 0.639
Au: 0.169 0.750 0.220
Au: 0.333 0.001 0.570
Au: 0.333 0.499 0.570
Au: 0.334 0.000 0.361
Au: 0.334 0.500 0.361
Au: 0.334 0.502 0.781
Au: 0.334 0.998 0.781
Au: 0.498 0.250 0.291
Au: 0.498 0.250 0.709
Au: 0.500 0.250 0.500
Au: 0.500 0.750 0.500
Au: 0.502 0.750 0.291
Au: 0.502 0.750 0.709
Au: 0.666 0.000 0.639
Au: 0.666 0.002 0.219
Au: 0.666 0.498 0.219
Au: 0.666 0.500 0.639
Au: 0.667 0.501 0.430
Au: 0.667 0.999 0.430
Au: 0.831 0.250 0.780
Au: 0.832 0.250 0.361
Au: 0.833 0.750 0.570
Au: 0.834 0.250 0.570
Au: 0.834 0.750 0.360
Au: 0.999 0.502 0.709
Au: 0.999 0.998 0.709